Theoretical X-ray diffraction stick pattern
Compound: CsCaTlSiSe
Radiation: Cu Kα (weighted mean of Kα1 and Kα2)
Structure: a cell relaxed with PBE
Kinematic intensities with the Lorentz-polarization factor, no thermal factor.

Atomic structure:
Unit cell a=4.6237 b=4.6237 c=9.3048 alpha=90.00 beta=90.00 gamma=120.00
Space group P3m1 (No. 156)
Symmetry-distinct sites (fractional):
Cs  0.0000  0.0000  0.0000 (multiplicity 1)
Ca  0.0000  0.0000  0.5795 (multiplicity 1)
Tl  0.3333  0.6667  0.3070 (multiplicity 1)
Si  0.6667  0.3333  0.4248 (multiplicity 1)
Se  0.6667  0.3333  0.7153 (multiplicity 1)

Largest 8 diffraction maxima, sorted by position, 10 to 90 degrees two-theta:
| 2θ/deg | d [Å] | Rel. int. |
| --- | --- | --- |
| 24.20 | 3.678 | 100.0 |
| 28.78 | 3.102 | 17.2 |
| 29.43 | 3.035 | 77.2 |
| 36.65 | 2.452 | 18.3 |
| 38.96 | 2.312 | 43.2 |
| 46.39 | 1.957 | 17.7 |
| 49.15 | 1.854 | 23.6 |
| 49.57 | 1.839 | 18.1 |

---

Theoretical X-ray diffraction stick pattern
Compound: CsCaTlSiSe
Radiation: Cu Kα (weighted mean of Kα1 and Kα2)
Structure: a cell relaxed with PBE
Kinematic intensities with the Lorentz-polarization factor, no thermal factor.

Atomic structure:
Unit cell a=4.5236 b=4.5236 c=28.6459 alpha=90.00 beta=90.00 gamma=120.00
Space group R3m (No. 160, hexagonal axes)
Symmetry-distinct sites (fractional):
Cs  0.0000  0.0000  0.0000 (multiplicity 3)
Ca  0.0000  0.0000  0.7968 (multiplicity 3)
Tl  0.0000  0.0000  0.5560 (multiplicity 3)
Si  0.0000  0.0000  0.2113 (multiplicity 3)
Se  0.0000  0.0000  0.4179 (multiplicity 3)

Largest 8 diffraction maxima, sorted by position, 10 to 90 degrees two-theta:
| 2θ/deg | d [Å] | Rel. int. |
| --- | --- | --- |
| 23.54 | 3.779 | 89.8 |
| 25.92 | 3.437 | 45.2 |
| 27.58 | 3.234 | 100.0 |
| 28.03 | 3.183 | 40.7 |
| 31.62 | 2.830 | 70.2 |
| 39.86 | 2.262 | 74.3 |
| 49.43 | 1.844 | 50.7 |
| 50.31 | 1.814 | 21.0 |

---

Theoretical X-ray diffraction stick pattern
Compound: Cs2CaTeSe4
Radiation: Cu Kα (weighted mean of Kα1 and Kα2)
Structure: a cell relaxed with PBE
Kinematic intensities with the Lorentz-polarization factor, no thermal factor.

Atomic structure:
Unit cell a=7.0064 b=15.4395 c=26.2151 alpha=90.00 beta=90.00 gamma=90.00
Space group Fddd (No. 70, origin choice 2)
Symmetry-distinct sites (fractional):
Cs  0.1250  0.1250  0.3067 (multiplicity 16)
Ca  0.1250  0.1250  0.1250 (multiplicity 8)
Te  0.1250  0.1250  0.6250 (multiplicity 8)
Se  0.1133  0.2690  0.8226 (multiplicity 32)

Largest 8 diffraction maxima, sorted by position, 10 to 90 degrees two-theta:
| 2θ/deg | d [Å] | Rel. int. |
| --- | --- | --- |
| 13.51 | 6.554 | 26.0 |
| 23.40 | 3.802 | 41.1 |
| 23.75 | 3.747 | 100.0 |
| 27.42 | 3.253 | 39.3 |
| 27.97 | 3.190 | 25.5 |
| 32.77 | 2.733 | 35.1 |
| 43.64 | 2.074 | 24.1 |
| 43.81 | 2.066 | 25.7 |

---

Theoretical X-ray diffraction stick pattern
Compound: CsCaSi3
Radiation: Cu Kα (weighted mean of Kα1 and Kα2)
Structure: a cell relaxed with PBE
Kinematic intensities with the Lorentz-polarization factor, no thermal factor.

Atomic structure:
Unit cell a=5.5988 b=5.5988 c=5.5988 alpha=90.00 beta=90.00 gamma=90.00
Space group Pm-3m (No. 221)
Symmetry-distinct sites (fractional):
Cs  0.0000  0.0000  0.0000 (multiplicity 1)
Ca  0.5000  0.5000  0.5000 (multiplicity 1)
Si  0.0000  0.5000  0.5000 (multiplicity 3)

Largest 8 diffraction maxima, sorted by position, 10 to 90 degrees two-theta:
| 2θ/deg | d [Å] | Rel. int. |
| --- | --- | --- |
| 22.46 | 3.959 | 100.0 |
| 27.60 | 3.232 | 59.5 |
| 31.97 | 2.799 | 66.5 |
| 39.42 | 2.286 | 45.2 |
| 45.84 | 1.979 | 46.5 |
| 54.35 | 1.688 | 25.9 |
| 62.02 | 1.496 | 23.1 |
| 76.02 | 1.252 | 20.6 |

---

Theoretical X-ray diffraction stick pattern
Compound: CsCaSn4
Radiation: Cu Kα (weighted mean of Kα1 and Kα2)
Structure: a cell relaxed with PBE
Kinematic intensities with the Lorentz-polarization factor, no thermal factor.

Atomic structure:
Unit cell a=4.5121 b=4.5121 c=38.2612 alpha=90.00 beta=90.00 gamma=120.00
Space group R-3m (No. 166, hexagonal axes)
Symmetry-distinct sites (fractional):
Cs  0.0000  0.0000  0.0000 (multiplicity 3)
Ca  0.0000  0.0000  0.5000 (multiplicity 3)
Sn  0.0000  0.0000  0.1133 (multiplicity 6)
Sn  0.0000  0.0000  0.4108 (multiplicity 6)

Largest 8 diffraction maxima, sorted by position, 10 to 90 degrees two-theta:
| 2θ/deg | d [Å] | Rel. int. |
| --- | --- | --- |
| 23.23 | 3.829 | 86.2 |
| 24.61 | 3.617 | 32.4 |
| 28.06 | 3.180 | 67.3 |
| 29.52 | 3.026 | 48.7 |
| 32.76 | 2.734 | 100.0 |
| 39.96 | 2.256 | 91.9 |
| 46.57 | 1.950 | 42.1 |
| 68.05 | 1.378 | 28.7 |

---

Theoretical X-ray diffraction stick pattern
Compound: CsCaTa
Radiation: Cu Kα (weighted mean of Kα1 and Kα2)
Structure: a cell relaxed with PBE
Kinematic intensities with the Lorentz-polarization factor, no thermal factor.

Atomic structure:
Unit cell a=3.6252 b=4.8576 c=17.0269 alpha=91.68 beta=94.94 gamma=111.63
Space group P1 (No. 1)
Symmetry-distinct sites (fractional):
Cs  0.0000  0.0000  0.0000 (multiplicity 1)
Cs  0.0133  0.5699  0.2733 (multiplicity 1)
Ca  0.1263  0.4703  0.7751 (multiplicity 1)
Ca  0.8309  0.0997  0.4980 (multiplicity 1)
Ta  0.3510  0.0067  0.6529 (multiplicity 1)
Ta  0.6063  0.5634  0.6202 (multiplicity 1)

Largest 8 diffraction maxima, sorted by position, 10 to 90 degrees two-theta:
| 2θ/deg | d [Å] | Rel. int. |
| --- | --- | --- |
| 10.45 | 8.463 | 89.3 |
| 15.71 | 5.642 | 100.0 |
| 27.66 | 3.225 | 25.9 |
| 28.07 | 3.178 | 31.9 |
| 31.74 | 2.819 | 25.0 |
| 35.87 | 2.503 | 20.3 |
| 39.37 | 2.289 | 42.1 |
| 40.00 | 2.254 | 24.3 |